Structure and simulated X-ray diffraction stick pattern of NbMoSe4 (a cell relaxed with PBE; Cu Kα (λ = 1.5418 Å)).
Peak positions follow from Bragg's law for the DFT cell and can differ from measured ones.

The 12 most intense peaks (2θ = 5–70°), by angle:
13.25 deg, rel. 83, hkl 0 0 2
31.00 deg, rel. 65, hkl 1 0 1
33.15 deg, rel. 55, hkl 1 0 2
36.49 deg, rel. 43, hkl 1 0 3
40.77 deg, rel. 100, hkl 1 0 4
45.78 deg, rel. 21, hkl 1 0 5
51.37 deg, rel. 15, hkl 1 0 6
53.74 deg, rel. 46, hkl 1 1 0
54.96 deg, rel. 14, hkl 0 0 8
55.60 deg, rel. 12, hkl 1 1 2
57.47 deg, rel. 11, hkl 1 0 7
69.58 deg, rel. 20, hkl 2 0 4

```
NbMoSe4
1.0
3.4117 0.0000 0.0000
-1.7058 2.9546 0.0000
0.0000 0.0000 13.3644
Nb Mo Se
1 1 4
Direct
0.0000 0.0000 0.0000
0.0000 0.0000 0.5000
0.3333 0.6667 0.1280
0.3333 0.6667 0.8720
0.6667 0.3333 0.3772
0.6667 0.3333 0.6228
```